(1)
Starting from a cell relaxed with PBE, the X-ray diffraction stick pattern of CdBOs3 was calculated for Cu Kα (weighted mean of Kα1 and Kα2).
Intensities are scaled so that the largest is 100.

```
data_CdBOs3
_chemical_formula_sum 'Cd2 B2 Os6'
_cell_length_a 7.4226
_cell_length_b 7.4226
_cell_length_c 4.9459
_cell_angle_alpha 90.00
_cell_angle_beta 90.00
_cell_angle_gamma 120.00
_symmetry_space_group_name_H-M 'P 1'
_symmetry_Int_Tables_number 1
_symmetry_space_group_name_Hall 'P 1'
loop_
_atom_site_label
_atom_site_type_symbol
_atom_site_fract_x
_atom_site_fract_y
_atom_site_fract_z
Cd1 Cd 0.3333 0.6667 0.2500
Cd2 Cd 0.6667 0.3333 0.7500
B1 B 0.0000 0.0000 0.0000
B2 B 0.0000 0.0000 0.5000
Os1 Os 0.1248 0.2495 0.2500
Os2 Os 0.1248 0.8752 0.2500
Os3 Os 0.2495 0.1248 0.7500
Os4 Os 0.7505 0.8752 0.2500
Os5 Os 0.8752 0.1248 0.7500
Os6 Os 0.8752 0.7505 0.7500
```

Principal peaks in the range 10° ≤ 2θ ≤ 90°, by angle:
2θ/deg, I (rel.)
13.78, 100
22.68, 43
33.24, 39
36.33, 31
41.41, 76
46.17, 43

***

(2)
Starting from a cell relaxed with PBE, the X-ray diffraction stick pattern of CdBPd3 was calculated for Cu Kα (weighted mean of Kα1 and Kα2).
Intensities are scaled so that the largest is 100.

```
data_CdBPd3
_chemical_formula_sum 'Cd2 B2 Pd6'
_cell_length_a 5.8586
_cell_length_b 5.8586
_cell_length_c 5.8794
_cell_angle_alpha 116.91
_cell_angle_beta 116.91
_cell_angle_gamma 60.72
_symmetry_space_group_name_H-M 'P 1'
_symmetry_Int_Tables_number 1
_symmetry_space_group_name_Hall 'P 1'
loop_
_atom_site_label
_atom_site_type_symbol
_atom_site_fract_x
_atom_site_fract_y
_atom_site_fract_z
Cd1 Cd 0.2359 0.7641 0.5000
Cd2 Cd 0.7641 0.2359 0.0000
B1 B 0.4987 0.9993 0.2507
B2 B 0.9993 0.4987 0.7507
Pd1 Pd 0.2073 0.2779 0.4596
Pd2 Pd 0.2748 0.7240 0.9989
Pd3 Pd 0.2779 0.2073 0.9596
Pd4 Pd 0.7233 0.7915 0.5414
Pd5 Pd 0.7240 0.2748 0.4989
Pd6 Pd 0.7915 0.7233 0.0414
```

Principal peaks in the range 10° ≤ 2θ ≤ 90°, by angle:
2θ/deg, I (rel.)
35.87, 68
36.84, 100
38.27, 49
41.98, 42
43.42, 62
60.34, 21

***

(3)
Starting from a cell relaxed with PBE, the X-ray diffraction stick pattern of Sc2CdB2 was calculated for Cu Kα (weighted mean of Kα1 and Kα2).
Intensities are scaled so that the largest is 100.

```
data_Sc2CdB2
_chemical_formula_sum 'Sc2 Cd1 B2'
_cell_length_a 6.8548
_cell_length_b 6.8548
_cell_length_c 3.5028
_cell_angle_alpha 90.00
_cell_angle_beta 90.00
_cell_angle_gamma 153.27
_symmetry_space_group_name_H-M 'P 1'
_symmetry_Int_Tables_number 1
_symmetry_space_group_name_Hall 'P 1'
loop_
_atom_site_label
_atom_site_type_symbol
_atom_site_fract_x
_atom_site_fract_y
_atom_site_fract_z
Sc1 Sc 0.1480 0.8520 0.0000
Sc2 Sc 0.8520 0.1480 0.0000
Cd1 Cd 0.5000 0.5000 0.5000
B1 B 0.2772 0.7228 0.5000
B2 B 0.7228 0.2772 0.5000
```

Principal peaks in the range 10° ≤ 2θ ≤ 90°, by angle:
2θ/deg, I (rel.)
13.28, 54
28.79, 60
34.77, 86
37.23, 79
38.92, 100
62.78, 27

***

(4)
Starting from a cell relaxed with PBE, the X-ray diffraction stick pattern of CdSnB4 was calculated for Cu Kα (weighted mean of Kα1 and Kα2).
Intensities are scaled so that the largest is 100.

```
data_CdSnB4
_chemical_formula_sum 'Cd1 Sn1 B4'
_cell_length_a 3.1029
_cell_length_b 3.1029
_cell_length_c 8.6582
_cell_angle_alpha 90.00
_cell_angle_beta 90.00
_cell_angle_gamma 120.00
_symmetry_space_group_name_H-M 'P 1'
_symmetry_Int_Tables_number 1
_symmetry_space_group_name_Hall 'P 1'
loop_
_atom_site_label
_atom_site_type_symbol
_atom_site_fract_x
_atom_site_fract_y
_atom_site_fract_z
Cd1 Cd 0.0000 0.0000 0.0000
Sn1 Sn 0.0000 0.0000 0.5000
B1 B 0.3333 0.6667 0.2353
B2 B 0.3333 0.6667 0.7647
B3 B 0.6667 0.3333 0.2353
B4 B 0.6667 0.3333 0.7647
```

Principal peaks in the range 10° ≤ 2θ ≤ 90°, by angle:
2θ/deg, I (rel.)
20.52, 54
33.34, 61
39.47, 100
54.43, 31
59.59, 16
63.72, 17

***

(5)
Starting from a cell relaxed with PBE, the X-ray diffraction stick pattern of Zr4CdSnB2 was calculated for Cu Kα (weighted mean of Kα1 and Kα2).
Intensities are scaled so that the largest is 100.

```
data_Zr4CdSnB2
_chemical_formula_sum 'Zr4 Cd1 Sn1 B2'
_cell_length_a 3.4468
_cell_length_b 3.4468
_cell_length_c 15.2487
_cell_angle_alpha 90.00
_cell_angle_beta 90.00
_cell_angle_gamma 120.00
_symmetry_space_group_name_H-M 'P 1'
_symmetry_Int_Tables_number 1
_symmetry_space_group_name_Hall 'P 1'
loop_
_atom_site_label
_atom_site_type_symbol
_atom_site_fract_x
_atom_site_fract_y
_atom_site_fract_z
Zr1 Zr 0.0000 0.0000 0.1607
Zr2 Zr 0.0000 0.0000 0.8393
Zr3 Zr 0.6667 0.3333 0.3321
Zr4 Zr 0.6667 0.3333 0.6679
Cd1 Cd 0.0000 0.0000 0.5000
Sn1 Sn 0.6667 0.3333 0.0000
B1 B 0.3333 0.6667 0.2464
B2 B 0.3333 0.6667 0.7536
```

Principal peaks in the range 10° ≤ 2θ ≤ 90°, by angle:
2θ/deg, I (rel.)
29.93, 22
34.86, 100
35.32, 20
53.14, 20
63.09, 17
65.43, 19

***

(6)
Starting from a cell relaxed with PBE, the X-ray diffraction stick pattern of UCdB was calculated for Cu Kα (weighted mean of Kα1 and Kα2).
Intensities are scaled so that the largest is 100.

```
data_UCdB
_chemical_formula_sum 'U1 Cd1 B1'
_cell_length_a 4.3690
_cell_length_b 4.3690
_cell_length_c 4.3690
_cell_angle_alpha 60.00
_cell_angle_beta 60.00
_cell_angle_gamma 60.00
_symmetry_space_group_name_H-M 'P 1'
_symmetry_Int_Tables_number 1
_symmetry_space_group_name_Hall 'P 1'
loop_
_atom_site_label
_atom_site_type_symbol
_atom_site_fract_x
_atom_site_fract_y
_atom_site_fract_z
U1 U 0.0000 0.0000 0.0000
Cd1 Cd 0.5000 0.5000 0.5000
B1 B 0.7500 0.7500 0.7500
```

Principal peaks in the range 10° ≤ 2θ ≤ 90°, by angle:
2θ/deg, I (rel.)
24.96, 21
28.90, 100
41.33, 85
51.22, 28
67.83, 37
75.36, 30

***

(7)
Starting from a cell relaxed with PBE, the X-ray diffraction stick pattern of Y4CdB3 was calculated for Cu Kα (weighted mean of Kα1 and Kα2).
Intensities are scaled so that the largest is 100.

```
data_Y4CdB3
_chemical_formula_sum 'Y8 Cd2 B6'
_cell_length_a 3.6296
_cell_length_b 3.6296
_cell_length_c 30.2954
_cell_angle_alpha 90.00
_cell_angle_beta 90.00
_cell_angle_gamma 120.00
_symmetry_space_group_name_H-M 'P 1'
_symmetry_Int_Tables_number 1
_symmetry_space_group_name_Hall 'P 1'
loop_
_atom_site_label
_atom_site_type_symbol
_atom_site_fract_x
_atom_site_fract_y
_atom_site_fract_z
Y1 Y 0.0000 0.0000 0.1616
Y2 Y 0.0000 0.0000 0.3384
Y3 Y 0.0000 0.0000 0.6616
Y4 Y 0.0000 0.0000 0.8384
Y5 Y 0.3333 0.6667 0.0551
Y6 Y 0.3333 0.6667 0.4449
Y7 Y 0.6667 0.3333 0.5551
Y8 Y 0.6667 0.3333 0.9449
Cd1 Cd 0.3333 0.6667 0.2500
Cd2 Cd 0.6667 0.3333 0.7500
B1 B 0.0000 0.0000 0.0000
B2 B 0.0000 0.0000 0.5000
B3 B 0.3333 0.6667 0.6134
B4 B 0.3333 0.6667 0.8866
B5 B 0.6667 0.3333 0.1134
B6 B 0.6667 0.3333 0.3866
```

Principal peaks in the range 10° ≤ 2θ ≤ 90°, by angle:
2θ/deg, I (rel.)
28.55, 37
29.48, 45
30.80, 42
32.08, 91
33.58, 100
50.28, 45